Computed X-ray diffraction stick pattern
Compound: GdSnGe
Radiation: λ = 1.5418 Å (Cu Kα)
Structure: a structure optimized by DFT (PBE)
No peak broadening, texture or thermal motion is included.

Structure:
```
GdSnGe
1.0
4.3369 0.0000 0.0000
0.0000 16.4938 0.0000
0.0000 0.0000 4.1295
Gd Sn Ge
4 4 4
direct
0.0000 0.0950 0.2500
0.0000 0.9050 0.7500
0.5000 0.4050 0.7500
0.5000 0.5950 0.2500
0.0000 0.2561 0.7500
0.0000 0.7439 0.2500
0.5000 0.2439 0.2500
0.5000 0.7561 0.7500
0.0000 0.4479 0.2500
0.0000 0.5521 0.7500
0.5000 0.0521 0.7500
0.5000 0.9479 0.2500
```

Main lines, by intensity (15 to 90 degrees two-theta):
hkl  2θ/deg  I_rel
1 3 1  34.13  100
0 6 0  32.57  18
2 0 0  41.65  14
0 0 2  43.85  13
3 3 1  71.21  12
0 2 1  24.10  11
1 3 3  74.33  9
2 0 2  62.07  9
2 6 0  53.85  9
0 6 2  55.68  8

***

Computed X-ray diffraction stick pattern
Compound: GdTiGe
Radiation: λ = 1.5418 Å (Cu Kα)
Structure: a structure optimized by DFT (PBE)
No peak broadening, texture or thermal motion is included.

Structure:
```
GdTiGe
1.0
4.0770 0.0000 0.0000
0.0000 4.0770 0.0000
0.0000 0.0000 15.7074
Gd Ti Ge
4 4 4
direct
0.0000 0.0000 0.1754
0.0000 0.0000 0.8246
0.5000 0.5000 0.3246
0.5000 0.5000 0.6754
0.0000 0.5000 0.0000
0.0000 0.5000 0.5000
0.5000 0.0000 0.0000
0.5000 0.0000 0.5000
0.0000 0.0000 0.3804
0.0000 0.0000 0.6196
0.5000 0.5000 0.1196
0.5000 0.5000 0.8804
```

Main lines, by intensity (15 to 90 degrees two-theta):
hkl  2θ/deg  I_rel
1 0 5  36.09  100
1 1 0  31.02  84
1 1 4  38.75  78
1 1 2  33.10  76
1 0 3  27.73  74
2 0 0  44.44  71
2 1 5  58.53  49
1 0 9  57.44  36
2 1 9  75.39  32
0 0 6  34.25  31

***

Computed X-ray diffraction stick pattern
Compound: GdTiGe
Radiation: λ = 1.5418 Å (Cu Kα)
Structure: a structure optimized by DFT (PBE)
No peak broadening, texture or thermal motion is included.

Structure:
```
GdTiGe
1.0
4.0715 0.0000 0.0000
0.0000 4.0715 0.0000
0.0000 0.0000 7.8083
Gd Ti Ge
2 2 2
direct
0.2500 0.2500 0.1530
0.7500 0.7500 0.8470
0.2500 0.7500 0.5000
0.7500 0.2500 0.5000
0.2500 0.2500 0.7355
0.7500 0.7500 0.2645
```

Main lines, by intensity (15 to 90 degrees two-theta):
hkl  2θ/deg  I_rel
1 0 2  31.75  100
1 1 2  38.87  70
1 1 0  31.06  70
2 0 0  44.50  59
1 1 1  33.16  59
2 1 2  55.70  41
2 1 5  81.13  27
1 0 5  63.84  26
0 0 3  34.46  25
1 0 3  41.16  24

***

Computed X-ray diffraction stick pattern
Compound: GdZnGe
Radiation: λ = 1.5418 Å (Cu Kα)
Structure: a structure optimized by DFT (PBE)
No peak broadening, texture or thermal motion is included.

Structure:
```
GdZnGe
1.0
4.2712 0.0000 0.0000
-2.1356 3.6990 0.0000
0.0000 0.0000 15.9610
Gd Zn Ge
4 4 4
direct
0.0000 0.0000 0.0000
0.0000 0.0000 0.2500
0.0000 0.0000 0.5000
0.0000 0.0000 0.7500
0.3333 0.6667 0.1479
0.3333 0.6667 0.3521
0.6667 0.3333 0.6479
0.6667 0.3333 0.8521
0.3333 0.6667 0.6137
0.3333 0.6667 0.8863
0.6667 0.3333 0.1137
0.6667 0.3333 0.3863
```

Main lines, by intensity (15 to 90 degrees two-theta):
hkl  2θ/deg  I_rel
1 0 4  33.02  100
1 1 0  42.32  47
2 0 4  54.70  24
2 1 4  71.50  21
1 1 8  63.85  18
1 0 0  24.06  15
0 0 8  45.46  9
3 0 0  77.40  8
1 0 8  52.08  7
1 0 12  76.04  6

***

Computed X-ray diffraction stick pattern
Compound: GdZnGe
Radiation: λ = 1.5418 Å (Cu Kα)
Structure: a structure optimized by DFT (PBE)
No peak broadening, texture or thermal motion is included.

Structure:
```
GdZnGe
1.0
4.2455 0.0000 0.0000
-2.1228 3.6767 0.0000
0.0000 0.0000 4.1520
Gd Zn Ge
1 1 1
direct
0.0000 0.0000 0.0000
0.3333 0.6667 0.5000
0.6667 0.3333 0.5000
```

Main lines, by intensity (15 to 90 degrees two-theta):
hkl  2θ/deg  I_rel
1 0 1  32.53  100
1 1 0  42.59  41
1 1 2  62.59  26
2 0 1  54.60  23
2 1 1  71.61  20
1 0 0  24.21  13
0 0 2  43.60  13
1 0 3  73.05  9
3 0 0  77.96  7
2 0 3  88.41  6

***

Computed X-ray diffraction stick pattern
Compound: Gd3Zn5Ge
Radiation: λ = 1.5418 Å (Cu Kα)
Structure: a structure optimized by DFT (PBE)
No peak broadening, texture or thermal motion is included.

Structure:
```
Gd3Zn5Ge
1.0
7.1041 0.0000 0.0000
-3.5520 6.1523 0.0000
0.0000 0.0000 4.2737
Gd Zn Ge
3 5 1
direct
0.0000 0.5780 0.0000
0.4220 0.4220 0.0000
0.5780 0.0000 0.0000
0.0000 0.2454 0.5000
0.2454 0.0000 0.5000
0.3333 0.6667 0.5000
0.6667 0.3333 0.5000
0.7546 0.7546 0.5000
0.0000 0.0000 0.0000
```

Main lines, by intensity (15 to 90 degrees two-theta):
hkl  2θ/deg  I_rel
2 0 1  35.97  100
1 1 1  32.78  89
2 1 0  38.72  40
0 0 2  42.30  29
3 1 1  58.22  27
2 1 2  58.68  23
2 0 0  29.03  20
3 2 1  70.23  19
3 1 0  53.72  16
3 0 0  44.16  15